The following is a simulated powder diffractogram of LiH2N. It was derived from a DFT-relaxed cell (GGA-PBE, Alexandria), using CuKα.
Intensities are scaled so that the largest is 100.

Cell and atoms:
```
data_LiH2N
_chemical_formula_sum 'Li4 H8 N4'
_cell_length_a 6.4254
_cell_length_b 6.2901
_cell_length_c 5.0064
_cell_angle_alpha 68.24
_cell_angle_beta 65.40
_cell_angle_gamma 46.36
_space_group_name_H-M_alt 'P 1'
_space_group_IT_number 1
loop_
_space_group_symop_operation_xyz
'x,y,z'
loop_
_atom_site_label
_atom_site_fract_x
_atom_site_fract_y
_atom_site_fract_z
Li1 0.0063 0.0063 0.2437
Li2 0.2437 0.2437 0.0063
Li3 0.7563 0.7563 0.9937
Li4 0.9937 0.9937 0.7563
H1 0.0505 0.6090 0.3293
H2 0.3293 0.5112 0.0505
H3 0.3910 0.9495 0.4888
H4 0.4888 0.6707 0.3910
H5 0.5112 0.3293 0.6090
H6 0.6090 0.0505 0.5112
H7 0.6707 0.4888 0.9495
H8 0.9495 0.3910 0.6707
N1 0.1020 0.6480 0.1020
N2 0.3520 0.8980 0.3520
N3 0.6480 0.1020 0.6480
N4 0.8980 0.3520 0.8980
```

Principal peaks in the range 2θ = 10–80°, in order of falling intensity:
29.70°, intensity 100.0; 31.18°, intensity 91.6; 50.29°, intensity 52.2; 19.66°, intensity 23.8; 35.96°, intensity 18.7; 33.95°, intensity 14.9; 49.84°, intensity 10.9; 59.97°, intensity 9.6; 53.65°, intensity 9.1; 58.15°, intensity 8.0